Structure and simulated powder XRD pattern of Nd4Ir2Se (a DFT-relaxed cell (PBE, Alexandria); copper Kα).
Lines closer than 0.1° are merged.

Crystal structure
```
Nd4Ir2Se
1.0
-4.5305 4.5305 4.4937
4.5305 -4.5305 4.4937
4.5305 4.5305 -4.4937
Nd Ir Se
8 4 2
Cartesian
3.9545 -2.8502 2.9344
5.1065 1.6803 -0.6876
7.3807 -0.5760 1.5593
1.6803 0.5760 1.5593
1.6803 3.9545 0.6876
2.8502 0.5760 5.1813
5.1065 2.8502 2.9344
-0.5760 2.8502 3.8062
-1.0144 2.2653 1.1234
2.2653 3.5161 3.3703
1.0144 6.7958 1.1234
-2.2653 5.5449 3.3703
4.5305 0.0000 2.2469
0.0000 0.0000 4.4937
```

Most intense lines, 2θ from 5° to 70°, low angle first:
| 2theta | intensity |
| --- | --- |
| 13.88 | 17 |
| 31.23 | 100 |
| 31.45 | 43 |
| 37.17 | 47 |
| 37.33 | 28 |
| 44.78 | 16 |
| 47.19 | 20 |
| 51.58 | 14 |
| 51.70 | 21 |
| 63.30 | 19 |

---

Structure and simulated powder XRD pattern of Nd6TeIr2Se3 (a DFT-relaxed cell (PBE, Alexandria); copper Kα).
Lines closer than 0.1° are merged.

Crystal structure
```
Nd6TeIr2Se3
1.0
9.4043 -2.0982 0.0000
9.4043 2.0982 0.0000
-2.3015 0.0000 8.5109
Nd Te Ir Se
6 1 2 3
Cartesian
-0.3821 0.0000 2.3067
4.0641 0.0000 7.5148
5.1698 0.0000 3.6167
11.3374 0.0000 4.8943
12.4431 0.0000 0.9962
16.8893 0.0000 6.2043
9.4043 0.0000 0.0000
2.4015 0.0000 2.8856
14.1057 0.0000 5.6254
1.0513 0.0000 7.1581
8.2536 0.0000 4.2555
15.4559 0.0000 1.3528
```

Most intense lines, 2θ from 5° to 70°, low angle first:
| 2theta | intensity |
| --- | --- |
| 12.26 | 17 |
| 29.39 | 100 |
| 29.52 | 47 |
| 40.96 | 19 |
| 41.72 | 38 |
| 42.56 | 32 |
| 43.11 | 18 |
| 50.58 | 14 |
| 53.11 | 21 |
| 60.98 | 11 |

---

Structure and simulated powder XRD pattern of Nd2Si6Ir9 (a DFT-relaxed cell (PBE, Alexandria); copper Kα).
Lines closer than 0.1° are merged.

Crystal structure
```
Nd2Si6Ir9
1.0
5.6572 0.0000 0.0000
-2.8286 4.8993 0.0000
0.0000 0.0000 10.8004
Nd Si Ir
2 6 9
Cartesian
0.0000 0.0000 2.0751
0.0000 0.0000 8.7253
0.0000 3.2662 1.7964
0.0000 3.2662 5.4002
0.0000 3.2662 9.0040
2.8286 1.6331 1.7964
2.8286 1.6331 5.4002
2.8286 1.6331 9.0040
-1.4143 2.4496 0.0000
-1.4143 2.4496 3.6020
-1.4143 2.4496 7.1984
2.8286 0.0000 0.0000
2.8286 0.0000 3.6020
2.8286 0.0000 7.1984
1.4143 2.4496 0.0000
1.4143 2.4496 3.6020
1.4143 2.4496 7.1984
```

Most intense lines, 2θ from 5° to 70°, low angle first:
| 2theta | intensity |
| --- | --- |
| 18.11 | 22 |
| 24.73 | 40 |
| 30.82 | 47 |
| 36.69 | 100 |
| 40.56 | 41 |
| 44.75 | 74 |
| 50.72 | 15 |
| 55.83 | 18 |
| 64.21 | 35 |
| 66.06 | 23 |

---

What did the third record say?
Structure and simulated powder XRD pattern of Nd2Si6Ir9 (a DFT-relaxed cell (PBE, Alexandria); copper Kα).
Lines closer than 0.1° are merged.

Crystal structure
```
Nd2Si6Ir9
1.0
5.6572 0.0000 0.0000
-2.8286 4.8993 0.0000
0.0000 0.0000 10.8004
Nd Si Ir
2 6 9
Cartesian
0.0000 0.0000 2.0751
0.0000 0.0000 8.7253
0.0000 3.2662 1.7964
0.0000 3.2662 5.4002
0.0000 3.2662 9.0040
2.8286 1.6331 1.7964
2.8286 1.6331 5.4002
2.8286 1.6331 9.0040
-1.4143 2.4496 0.0000
-1.4143 2.4496 3.6020
-1.4143 2.4496 7.1984
2.8286 0.0000 0.0000
2.8286 0.0000 3.6020
2.8286 0.0000 7.1984
1.4143 2.4496 0.0000
1.4143 2.4496 3.6020
1.4143 2.4496 7.1984
```

Most intense lines, 2θ from 5° to 70°, low angle first:
| 2theta | intensity |
| --- | --- |
| 18.11 | 22 |
| 24.73 | 40 |
| 30.82 | 47 |
| 36.69 | 100 |
| 40.56 | 41 |
| 44.75 | 74 |
| 50.72 | 15 |
| 55.83 | 18 |
| 64.21 | 35 |
| 66.06 | 23 |

---

What did the third record say?
Structure and simulated powder XRD pattern of Nd2Si6Ir9 (a DFT-relaxed cell (PBE, Alexandria); copper Kα).
Lines closer than 0.1° are merged.

Crystal structure
```
Nd2Si6Ir9
1.0
5.6572 0.0000 0.0000
-2.8286 4.8993 0.0000
0.0000 0.0000 10.8004
Nd Si Ir
2 6 9
Cartesian
0.0000 0.0000 2.0751
0.0000 0.0000 8.7253
0.0000 3.2662 1.7964
0.0000 3.2662 5.4002
0.0000 3.2662 9.0040
2.8286 1.6331 1.7964
2.8286 1.6331 5.4002
2.8286 1.6331 9.0040
-1.4143 2.4496 0.0000
-1.4143 2.4496 3.6020
-1.4143 2.4496 7.1984
2.8286 0.0000 0.0000
2.8286 0.0000 3.6020
2.8286 0.0000 7.1984
1.4143 2.4496 0.0000
1.4143 2.4496 3.6020
1.4143 2.4496 7.1984
```

Most intense lines, 2θ from 5° to 70°, low angle first:
| 2theta | intensity |
| --- | --- |
| 18.11 | 22 |
| 24.73 | 40 |
| 30.82 | 47 |
| 36.69 | 100 |
| 40.56 | 41 |
| 44.75 | 74 |
| 50.72 | 15 |
| 55.83 | 18 |
| 64.21 | 35 |
| 66.06 | 23 |

---

Repeat the first record exactly.
Structure and simulated powder XRD pattern of Nd4Ir2Se (a DFT-relaxed cell (PBE, Alexandria); copper Kα).
Lines closer than 0.1° are merged.

Crystal structure
```
Nd4Ir2Se
1.0
-4.5305 4.5305 4.4937
4.5305 -4.5305 4.4937
4.5305 4.5305 -4.4937
Nd Ir Se
8 4 2
Cartesian
3.9545 -2.8502 2.9344
5.1065 1.6803 -0.6876
7.3807 -0.5760 1.5593
1.6803 0.5760 1.5593
1.6803 3.9545 0.6876
2.8502 0.5760 5.1813
5.1065 2.8502 2.9344
-0.5760 2.8502 3.8062
-1.0144 2.2653 1.1234
2.2653 3.5161 3.3703
1.0144 6.7958 1.1234
-2.2653 5.5449 3.3703
4.5305 0.0000 2.2469
0.0000 0.0000 4.4937
```

Most intense lines, 2θ from 5° to 70°, low angle first:
| 2theta | intensity |
| --- | --- |
| 13.88 | 17 |
| 31.23 | 100 |
| 31.45 | 43 |
| 37.17 | 47 |
| 37.33 | 28 |
| 44.78 | 16 |
| 47.19 | 20 |
| 51.58 | 14 |
| 51.70 | 21 |
| 63.30 | 19 |